(1)
Simulated X-ray diffraction stick pattern
Compound: NaV6O11
Radiation: copper Kα
Structure: a DFT-relaxed cell (GGA+U, the Materials Project)
Peak positions follow from Bragg's law for the DFT cell and can differ from measured ones.

Cell and atoms:
```
NaV6O11
1.0
5.873 0.000 0.000
-2.936 5.086 0.000
0.000 0.000 13.527
Na V O
2 12 22
direct
0.333 0.667 0.250 Na
0.667 0.333 0.750 Na
0.000 0.000 0.149 V
0.000 0.000 0.351 V
0.000 0.000 0.649 V
0.000 0.000 0.851 V
0.000 0.500 0.000 V
0.000 0.500 0.500 V
0.333 0.667 0.750 V
0.500 0.000 0.000 V
0.500 0.000 0.500 V
0.500 0.500 0.000 V
0.500 0.500 0.500 V
0.667 0.333 0.250 V
0.148 0.295 0.750 O
0.148 0.852 0.750 O
0.174 0.349 0.075 O
0.174 0.349 0.425 O
0.174 0.826 0.075 O
0.174 0.826 0.425 O
0.295 0.148 0.250 O
0.333 0.667 0.583 O
0.333 0.667 0.917 O
0.349 0.174 0.575 O
0.349 0.174 0.925 O
0.651 0.826 0.075 O
0.651 0.826 0.425 O
0.667 0.333 0.083 O
0.667 0.333 0.417 O
0.705 0.852 0.750 O
0.826 0.174 0.575 O
0.826 0.174 0.925 O
0.826 0.651 0.575 O
0.826 0.651 0.925 O
0.852 0.148 0.250 O
0.852 0.705 0.250 O
```

Largest 10 diffraction maxima, low angle first, 10 to 90 degrees two-theta:
6.763 Å, rel. 38.0; 4.065 Å, rel. 43.8; 3.380 Å, rel. 35.8; 2.816 Å, rel. 100.0; 2.693 Å, rel. 78.6; 2.380 Å, rel. 56.1; 2.216 Å, rel. 48.0; 1.687 Å, rel. 99.2; 1.671 Å, rel. 50.4; 1.468 Å, rel. 55.9

(2)
Simulated X-ray diffraction stick pattern
Compound: NaV5O8
Radiation: copper Kα
Structure: a DFT-relaxed cell (GGA+U, the Materials Project)
Peak positions follow from Bragg's law for the DFT cell and can differ from measured ones.

Cell and atoms:
```
NaV5O8
1.0
3.001 0.000 0.000
-1.452 5.338 0.000
-0.192 -2.433 10.331
Na V O
1 5 8
direct
0.000 0.000 0.000 Na
0.226 0.470 0.369 V
0.243 0.475 0.873 V
0.747 0.528 0.128 V
0.760 0.529 0.633 V
0.995 0.000 0.500 V
0.138 0.324 0.184 O
0.152 0.305 0.670 O
0.363 0.711 0.064 O
0.370 0.741 0.550 O
0.618 0.260 0.448 O
0.655 0.299 0.948 O
0.832 0.692 0.327 O
0.842 0.679 0.816 O
```

Largest 10 diffraction maxima, low angle first, 10 to 90 degrees two-theta:
5.196 Å, rel. 100.0; 5.160 Å, rel. 24.5; 3.304 Å, rel. 17.6; 2.598 Å, rel. 14.5; 2.558 Å, rel. 14.1; 2.219 Å, rel. 53.9; 2.185 Å, rel. 50.1; 2.127 Å, rel. 47.9; 1.538 Å, rel. 25.5; 1.533 Å, rel. 14.2

(3)
Simulated X-ray diffraction stick pattern
Compound: NaV2O4
Radiation: copper Kα
Structure: a DFT-relaxed cell (GGA+U, the Materials Project)
Peak positions follow from Bragg's law for the DFT cell and can differ from measured ones.

Cell and atoms:
```
NaV2O4
1.0
5.092 0.000 0.000
0.000 6.065 0.000
-0.001 0.000 11.494
Na V O
4 8 16
direct
0.026 0.250 0.250 Na
0.350 0.250 0.750 Na
0.650 0.750 0.250 Na
0.974 0.750 0.750 Na
0.009 0.750 0.008 V
0.009 0.750 0.492 V
0.500 0.000 0.000 V
0.500 0.000 0.500 V
0.500 0.500 0.000 V
0.500 0.500 0.500 V
0.991 0.250 0.508 V
0.991 0.250 0.992 V
0.158 0.503 0.593 O
0.158 0.997 0.593 O
0.159 0.503 0.907 O
0.159 0.997 0.907 O
0.313 0.250 0.083 O
0.313 0.250 0.417 O
0.322 0.750 0.094 O
0.323 0.750 0.407 O
0.677 0.250 0.593 O
0.678 0.250 0.906 O
0.687 0.750 0.583 O
0.687 0.750 0.917 O
0.841 0.003 0.093 O
0.841 0.497 0.093 O
0.842 0.003 0.407 O
0.842 0.497 0.407 O
```

Largest 10 diffraction maxima, low angle first, 10 to 90 degrees two-theta:
5.747 Å, rel. 100.0; 2.873 Å, rel. 9.5; 2.606 Å, rel. 12.0; 2.373 Å, rel. 22.9; 2.328 Å, rel. 9.5; 2.155 Å, rel. 10.1; 1.930 Å, rel. 26.3; 1.906 Å, rel. 13.5; 1.543 Å, rel. 11.0; 1.481 Å, rel. 10.4

(4)
Simulated X-ray diffraction stick pattern
Compound: NaV2O4
Radiation: copper Kα
Structure: a DFT-relaxed cell (GGA+U, the Materials Project)
Peak positions follow from Bragg's law for the DFT cell and can differ from measured ones.

Cell and atoms:
```
NaV2O4
1.0
4.353 -4.228 0.000
4.353 4.228 0.000
-4.237 0.000 4.513
Na V O
2 4 8
direct
0.124 0.876 0.750 Na
0.876 0.124 0.250 Na
0.000 0.500 0.000 V
0.500 0.000 0.500 V
0.500 0.500 0.000 V
0.500 0.500 0.500 V
0.275 0.725 0.034 O
0.275 0.725 0.466 O
0.282 0.305 0.051 O
0.305 0.282 0.551 O
0.695 0.718 0.449 O
0.718 0.695 0.949 O
0.725 0.275 0.534 O
0.725 0.275 0.966 O
```

Largest 10 diffraction maxima, low angle first, 10 to 90 degrees two-theta:
5.076 Å, rel. 100.0; 4.993 Å, rel. 77.1; 2.715 Å, rel. 32.0; 2.608 Å, rel. 32.2; 2.565 Å, rel. 30.7; 2.257 Å, rel. 40.2; 2.176 Å, rel. 37.2; 2.114 Å, rel. 32.8; 1.543 Å, rel. 35.2; 1.516 Å, rel. 34.0

(5)
Simulated X-ray diffraction stick pattern
Compound: NaV2O4
Radiation: copper Kα
Structure: a DFT-relaxed cell (GGA+U, the Materials Project)
Peak positions follow from Bragg's law for the DFT cell and can differ from measured ones.

Cell and atoms:
```
NaV2O4
1.0
9.276 0.000 0.000
0.000 2.947 0.000
-0.045 0.000 10.875
Na V O
4 8 16
direct
0.000 0.000 0.000 Na
0.009 0.500 0.498 Na
0.498 0.000 0.803 Na
0.510 0.500 0.305 Na
0.175 0.500 0.756 V
0.188 0.500 0.263 V
0.319 0.000 0.042 V
0.334 0.000 0.547 V
0.670 0.500 0.045 V
0.689 0.500 0.541 V
0.821 0.000 0.763 V
0.832 0.000 0.255 V
0.044 0.000 0.299 O
0.141 0.000 0.633 O
0.178 0.500 0.082 O
0.234 0.000 0.868 O
0.274 0.500 0.434 O
0.331 0.000 0.227 O
0.367 0.500 0.671 O
0.473 0.500 0.001 O
0.545 0.000 0.503 O
0.640 0.000 0.168 O
0.678 0.500 0.725 O
0.734 0.000 0.938 O
0.775 0.500 0.370 O
0.831 0.000 0.581 O
0.862 0.500 0.129 O
0.964 0.500 0.802 O
```

Largest 10 diffraction maxima, low angle first, 10 to 90 degrees two-theta:
4.691 Å, rel. 50.6; 4.638 Å, rel. 75.9; 2.719 Å, rel. 74.1; 2.693 Å, rel. 57.8; 2.683 Å, rel. 56.7; 2.495 Å, rel. 100.0; 2.487 Å, rel. 47.7; 2.220 Å, rel. 35.1; 1.822 Å, rel. 43.7; 1.511 Å, rel. 33.8